# ThGaAg3
Computed PXRD pattern, Cu Kα (λ = 1.5418 Å). Input: a DFT-relaxed cell (PBE, Alexandria).
No peak broadening, texture or thermal motion is included.

The 6 most intense peaks (15° ≤ 2θ ≤ 90°), by angle:
3.237 Å, 27.56°, intensity 20; 2.520 Å, 35.63°, intensity 100; 2.503 Å, 35.88°, intensity 80; 2.468 Å, 36.41°, intensity 42; 1.435 Å, 65.01°, intensity 17; 1.305 Å, 72.42°, intensity 17

Structural model:
abc: 4.9358 6.5732 6.4737
angles: 90.00 90.00 90.00
Fractional positions:
Th 0.2500 0.2500 0.2455
Th 0.7500 0.7500 0.7545
Ga 0.2500 0.7500 0.0530
Ga 0.7500 0.2500 0.9470
Ag 0.2500 0.0463 0.7592
Ag 0.2500 0.4537 0.7592
Ag 0.2500 0.7500 0.4422
Ag 0.7500 0.2500 0.5578
Ag 0.7500 0.5463 0.2408
Ag 0.7500 0.9537 0.2408

# Th3Ga2Ag4
Computed PXRD pattern, Cu Kα (λ = 1.5418 Å). Input: a DFT-relaxed cell (PBE, Alexandria).
No peak broadening, texture or thermal motion is included.

The 6 most intense peaks (15° ≤ 2θ ≤ 90°), by angle:
4.146 Å, 21.43°, intensity 22; 2.660 Å, 33.70°, intensity 100; 2.394 Å, 37.57°, intensity 65; 1.781 Å, 51.31°, intensity 16; 1.778 Å, 51.39°, intensity 15; 1.427 Å, 65.38°, intensity 20

Structural model:
abc: 5.9182 5.9182 8.9854
angles: 114.97 114.97 47.69
Fractional positions:
Th 0.0000 0.0000 0.0000
Th 0.3379 0.3379 0.3303
Th 0.6621 0.6621 0.6697
Ga 0.3863 0.3863 0.7196
Ga 0.6137 0.6137 0.2804
Ag 0.0753 0.0753 0.4044
Ag 0.2922 0.2922 0.9533
Ag 0.7078 0.7078 0.0467
Ag 0.9247 0.9247 0.5956

Copy entry 1 word for word.
# ThGaAg3
Computed PXRD pattern, Cu Kα (λ = 1.5418 Å). Input: a DFT-relaxed cell (PBE, Alexandria).
No peak broadening, texture or thermal motion is included.

The 6 most intense peaks (15° ≤ 2θ ≤ 90°), by angle:
3.237 Å, 27.56°, intensity 20; 2.520 Å, 35.63°, intensity 100; 2.503 Å, 35.88°, intensity 80; 2.468 Å, 36.41°, intensity 42; 1.435 Å, 65.01°, intensity 17; 1.305 Å, 72.42°, intensity 17

Structural model:
abc: 4.9358 6.5732 6.4737
angles: 90.00 90.00 90.00
Fractional positions:
Th 0.2500 0.2500 0.2455
Th 0.7500 0.7500 0.7545
Ga 0.2500 0.7500 0.0530
Ga 0.7500 0.2500 0.9470
Ag 0.2500 0.0463 0.7592
Ag 0.2500 0.4537 0.7592
Ag 0.2500 0.7500 0.4422
Ag 0.7500 0.2500 0.5578
Ag 0.7500 0.5463 0.2408
Ag 0.7500 0.9537 0.2408